The following is a theoretical PXRD pattern of K2ScAuCl6. It was derived from a cell relaxed with GGA-PBE, using Cu Kα (weighted mean of Kα1 and Kα2).
No peak broadening, texture or thermal motion is included.

Top 10 peaks for 10° ≤ 2θ ≤ 80°, in order of rising 2θ:
- d = 6.031 Å, 14.69°, rel. 55, hkl 1 1 1
- d = 5.223 Å, 16.98°, rel. 98, hkl 2 0 0
- d = 3.693 Å, 24.10°, rel. 100, hkl 2 2 0
- d = 3.150 Å, 28.34°, rel. 51, hkl 3 1 1
- d = 2.612 Å, 34.34°, rel. 91, hkl 4 0 0
- d = 2.397 Å, 37.53°, rel. 32, hkl 3 3 1
- d = 2.336 Å, 38.54°, rel. 49, hkl 4 2 0
- d = 2.132 Å, 42.39°, rel. 45, hkl 4 2 2
- d = 1.847 Å, 49.35°, rel. 59, hkl 4 4 0
- d = 1.741 Å, 52.56°, rel. 25, hkl 6 0 0

Cell and atoms:
```
data_K2ScAuCl6
_cell_length_a 10.446
_cell_length_b 10.446
_cell_length_c 10.446
_cell_angle_alpha 90.00
_cell_angle_beta 90.00
_cell_angle_gamma 90.00
_space_group_name_H-M_alt 'F m -3 m'
_space_group_IT_number 225
_space_group_name_Hall '-F 4 2 3'
loop_
_atom_site_label
_atom_site_fract_x
_atom_site_fract_y
_atom_site_fract_z
K1 0.250 0.250 0.250
Sc1 0.000 0.000 0.000
Au1 0.000 0.000 0.500
Cl1 0.000 0.000 0.239
```


The following is a theoretical PXRD pattern of K2TlAuCl6. It was derived from a cell relaxed with GGA-PBE, using Cu Kα (weighted mean of Kα1 and Kα2).
No peak broadening, texture or thermal motion is included.

Top 10 peaks for 10° ≤ 2θ ≤ 80°, in order of rising 2θ:
- d = 5.321 Å, 16.66°, rel. 100, hkl 2 0 0
- d = 3.763 Å, 23.65°, rel. 97, hkl 2 2 0
- d = 2.661 Å, 33.69°, rel. 58, hkl 4 0 0
- d = 2.380 Å, 37.81°, rel. 53, hkl 4 2 0
- d = 2.172 Å, 41.57°, rel. 46, hkl 4 2 2
- d = 1.881 Å, 48.38°, rel. 40, hkl 4 4 0
- d = 1.774 Å, 51.52°, rel. 28, hkl 6 0 0
- d = 1.683 Å, 54.54°, rel. 21, hkl 6 2 0
- d = 1.422 Å, 65.65°, rel. 24, hkl 6 4 2
- d = 1.291 Å, 73.36°, rel. 16, hkl 6 4 4

Cell and atoms:
```
data_K2TlAuCl6
_cell_length_a 10.642
_cell_length_b 10.642
_cell_length_c 10.642
_cell_angle_alpha 90.00
_cell_angle_beta 90.00
_cell_angle_gamma 90.00
_space_group_name_H-M_alt 'F m -3 m'
_space_group_IT_number 225
_space_group_name_Hall '-F 4 2 3'
loop_
_atom_site_label
_atom_site_fract_x
_atom_site_fract_y
_atom_site_fract_z
K1 0.250 0.250 0.250
Tl1 0.000 0.000 0.000
Au1 0.000 0.000 0.500
Cl1 0.000 0.000 0.256
```


The following is a theoretical PXRD pattern of K2TmAuCl6. It was derived from a cell relaxed with GGA-PBE, using Cu Kα (weighted mean of Kα1 and Kα2).
No peak broadening, texture or thermal motion is included.

Top 10 peaks for 10° ≤ 2θ ≤ 80°, in order of rising 2θ:
- d = 5.335 Å, 16.62°, rel. 100, hkl 2 0 0
- d = 3.773 Å, 23.58°, rel. 98, hkl 2 2 0
- d = 2.668 Å, 33.59°, rel. 63, hkl 4 0 0
- d = 2.386 Å, 37.70°, rel. 53, hkl 4 2 0
- d = 2.178 Å, 41.46°, rel. 46, hkl 4 2 2
- d = 1.886 Å, 48.24°, rel. 43, hkl 4 4 0
- d = 1.778 Å, 51.38°, rel. 27, hkl 6 0 0
- d = 1.687 Å, 54.38°, rel. 21, hkl 6 2 0
- d = 1.426 Å, 65.45°, rel. 24, hkl 6 4 2
- d = 1.294 Å, 73.13°, rel. 16, hkl 6 4 4

Cell and atoms:
```
data_K2TmAuCl6
_cell_length_a 10.671
_cell_length_b 10.671
_cell_length_c 10.671
_cell_angle_alpha 90.00
_cell_angle_beta 90.00
_cell_angle_gamma 90.00
_space_group_name_H-M_alt 'F m -3 m'
_space_group_IT_number 225
_space_group_name_Hall '-F 4 2 3'
loop_
_atom_site_label
_atom_site_fract_x
_atom_site_fract_y
_atom_site_fract_z
K1 0.250 0.250 0.250
Tm1 0.000 0.000 0.000
Au1 0.000 0.000 0.500
Cl1 0.000 0.000 0.243
```


The following is a theoretical PXRD pattern of K2YAuCl6. It was derived from a cell relaxed with GGA-PBE, using Cu Kα (weighted mean of Kα1 and Kα2).
No peak broadening, texture or thermal motion is included.

Top 10 peaks for 10° ≤ 2θ ≤ 80°, in order of rising 2θ:
- d = 5.372 Å, 16.50°, rel. 100, hkl 2 0 0
- d = 3.799 Å, 23.42°, rel. 100, hkl 2 2 0
- d = 2.686 Å, 33.36°, rel. 79, hkl 4 0 0
- d = 2.403 Å, 37.43°, rel. 52, hkl 4 2 0
- d = 2.193 Å, 41.16°, rel. 46, hkl 4 2 2
- d = 1.899 Å, 47.89°, rel. 53, hkl 4 4 0
- d = 1.791 Å, 51.00°, rel. 27, hkl 6 0 0
- d = 1.699 Å, 53.97°, rel. 21, hkl 6 2 0
- d = 1.436 Å, 64.95°, rel. 24, hkl 6 4 2
- d = 1.201 Å, 79.84°, rel. 22, hkl 8 4 0

Cell and atoms:
```
data_K2YAuCl6
_cell_length_a 10.745
_cell_length_b 10.745
_cell_length_c 10.745
_cell_angle_alpha 90.00
_cell_angle_beta 90.00
_cell_angle_gamma 90.00
_space_group_name_H-M_alt 'F m -3 m'
_space_group_IT_number 225
_space_group_name_Hall '-F 4 2 3'
loop_
_atom_site_label
_atom_site_fract_x
_atom_site_fract_y
_atom_site_fract_z
K1 0.250 0.250 0.250
Y1 0.000 0.000 0.000
Au1 0.000 0.000 0.500
Cl1 0.000 0.000 0.245
```